1.
Zr: calculated PXRD pattern (CuKα), based on a GGA-PBE-relaxed structure.
Peak positions follow from Bragg's law for the DFT cell and can differ from measured ones.

Largest 8 diffraction maxima, in order of rising 2θ, 2θ from 10° to 90°:
34.68°, I 100; 36.62°, I 66; 38.48°, I 17; 43.65°, I 11; 60.88°, I 24; 62.17°, I 9; 64.70°, I 26; 73.19°, I 8

Cell and atoms:
abc: 7.759 7.759 7.759
angles: 90.00 90.00 90.00
Space group P4_132 (No. 213)
Unique sites:
1 Zr 0.042 0.125 0.792
2 Zr 0.078 0.922 0.422

2.
RbSrSmSe3: calculated PXRD pattern (CuKα), based on a GGA-PBE-relaxed structure.
Peak positions follow from Bragg's law for the DFT cell and can differ from measured ones.

Largest 8 diffraction maxima, in order of rising 2θ, 2θ from 10° to 90°:
25.51°, I 69; 28.70°, I 56; 31.10°, I 100; 38.11°, I 33; 39.43°, I 36; 41.87°, I 29; 42.00°, I 30; 43.77°, I 24

Cell and atoms:
abc: 19.303 4.302 12.198
angles: 90.00 119.58 90.00
Space group C2/m (No. 12)
Unique sites:
1 Rb 0.048 0.000 0.248
2 Sr 0.115 0.500 0.676
3 Sm 0.168 0.500 0.068
4 Se 0.000 0.000 0.500
5 Se 0.000 0.500 0.000
6 Se 0.156 0.000 0.883
7 Se 0.215 0.000 0.248

3.
SnPd15: calculated PXRD pattern (CuKα), based on a GGA-PBE-relaxed structure.
Peak positions follow from Bragg's law for the DFT cell and can differ from measured ones.

Largest 8 diffraction maxima, in order of rising 2θ, 2θ from 10° to 90°:
39.21°, I 79; 40.04°, I 100; 41.46°, I 15; 45.74°, I 51; 46.76°, I 32; 67.46°, I 31; 79.65°, I 19; 81.21°, I 18

Cell and atoms:
abc: 4.770 34.177 4.770
angles: 90.00 109.15 90.00
Space group P2/c (No. 13)
Unique sites:
1 Sn 0.000 0.189 0.250
2 Pd 0.000 0.229 0.750
3 Pd 0.000 0.273 0.250
4 Pd 0.000 0.313 0.750
5 Pd 0.000 0.355 0.250
6 Pd 0.000 0.397 0.750
7 Pd 0.000 0.438 0.250
8 Pd 0.000 0.479 0.750
9 Pd 0.500 0.187 0.750
10 Pd 0.500 0.229 0.250
11 Pd 0.500 0.272 0.750
12 Pd 0.500 0.313 0.250
13 Pd 0.500 0.355 0.750
14 Pd 0.500 0.397 0.250
15 Pd 0.500 0.438 0.750
16 Pd 0.500 0.479 0.250

4.
Rb2Sm4Cu4Se9: calculated PXRD pattern (CuKα), based on a GGA-PBE-relaxed structure.
Peak positions follow from Bragg's law for the DFT cell and can differ from measured ones.

Largest 8 diffraction maxima, in order of rising 2θ, 2θ from 10° to 90°:
12.80°, I 92; 28.12°, I 84; 28.54°, I 100; 28.82°, I 67; 30.06°, I 62; 30.57°, I 92; 43.25°, I 100; 43.91°, I 53

Cell and atoms:
abc: 14.623 4.184 16.852
angles: 90.00 108.92 90.00
Space group C2/m (No. 12)
Unique sites:
1 Rb 0.030 0.000 0.271
2 Sm 0.155 0.500 0.556
3 Sm 0.230 0.000 0.102
4 Cu 0.075 0.500 0.971
5 Cu 0.244 0.000 0.729
6 Se 0.000 0.000 0.500
7 Se 0.104 0.500 0.128
8 Se 0.134 0.000 0.923
9 Se 0.152 0.500 0.724
10 Se 0.199 0.500 0.395

5.
Er3UN4: calculated PXRD pattern (CuKα), based on a GGA-PBE-relaxed structure.
Peak positions follow from Bragg's law for the DFT cell and can differ from measured ones.

Largest 8 diffraction maxima, in order of rising 2θ, 2θ from 10° to 90°:
32.14°, I 100; 37.20°, I 46; 37.45°, I 22; 53.80°, I 39; 63.82°, I 15; 63.99°, I 15; 64.24°, I 15; 88.34°, I 10

Cell and atoms:
abc: 6.852 9.606 3.411
angles: 90.00 90.00 90.00
Space group Cmmm (No. 65)
Unique sites:
1 Er 0.000 0.000 0.000
2 Er 0.250 0.250 0.500
3 U 0.000 0.500 0.000
4 N 0.000 0.260 0.000
5 N 0.244 0.500 0.500

6.
Cu7Ag3: calculated PXRD pattern (CuKα), based on a GGA-PBE-relaxed structure.
Peak positions follow from Bragg's law for the DFT cell and can differ from measured ones.

Largest 8 diffraction maxima, in order of rising 2θ, 2θ from 10° to 90°:
41.13°, I 100; 41.25°, I 98; 46.90°, I 33; 48.34°, I 30; 48.53°, I 31; 69.79°, I 27; 70.92°, I 18; 85.59°, I 21

Cell and atoms:
abc: 13.825 3.752 5.413
angles: 90.00 102.92 90.00
Space group C2/m (No. 12)
Unique sites:
1 Cu 0.000 0.000 0.000
2 Cu 0.108 0.500 0.806
3 Cu 0.202 0.000 0.612
4 Cu 0.204 0.000 0.091
5 Ag 0.000 0.000 0.500
6 Ag 0.104 0.500 0.291

Copy entry 5 word for word.
Er3UN4: calculated PXRD pattern (CuKα), based on a GGA-PBE-relaxed structure.
Peak positions follow from Bragg's law for the DFT cell and can differ from measured ones.

Largest 8 diffraction maxima, in order of rising 2θ, 2θ from 10° to 90°:
32.14°, I 100; 37.20°, I 46; 37.45°, I 22; 53.80°, I 39; 63.82°, I 15; 63.99°, I 15; 64.24°, I 15; 88.34°, I 10

Cell and atoms:
abc: 6.852 9.606 3.411
angles: 90.00 90.00 90.00
Space group Cmmm (No. 65)
Unique sites:
1 Er 0.000 0.000 0.000
2 Er 0.250 0.250 0.500
3 U 0.000 0.500 0.000
4 N 0.000 0.260 0.000
5 N 0.244 0.500 0.500